Computed powder diffraction line list
Compound: SnHg2GeF6
Radiation: Cu Kα
Structure: a DFT-relaxed cell (PBE, Alexandria)

Structure:
```
SnHg2GeF6
1.0
4.4404 -4.4393 0.0000
4.4404 4.4393 0.0000
-4.4253 0.0000 4.4564
Sn Hg Ge F
1 2 1 6
Direct
0.0000 0.0000 0.0000
0.2509 0.7491 0.5000
0.7491 0.2509 0.5000
0.5000 0.5000 0.0000
0.2283 0.2283 0.4579
0.2295 0.2295 0.9987
0.2302 0.7698 0.0000
0.7698 0.2302 0.0000
0.7705 0.7705 0.0013
0.7717 0.7717 0.5421
```

Peak list (10 most intense, 10° ≤ 2θ ≤ 80°, sorted by position)
d = 4.445 Å, I = 13
d = 3.145 Å, I = 100
d = 3.139 Å, I = 50
d = 2.567 Å, I = 19
d = 2.228 Å, I = 16
d = 2.220 Å, I = 31
d = 1.817 Å, I = 21
d = 1.813 Å, I = 42
d = 1.570 Å, I = 15
d = 1.404 Å, I = 17

---

Computed powder diffraction line list
Compound: Pm7Tl3
Radiation: Cu Kα
Structure: a DFT-relaxed cell (PBE, Alexandria)

Structure:
```
Pm7Tl3
1.0
10.9411 0.0000 0.0000
-5.4706 9.4753 0.0000
0.0000 0.0000 6.3066
Pm Tl
14 6
Direct
0.0563 0.5281 0.0000
0.1208 0.2416 0.7679
0.1208 0.8792 0.7679
0.2416 0.1208 0.2679
0.3333 0.6667 0.5789
0.4719 0.5281 0.0000
0.4719 0.9437 0.0000
0.5281 0.0563 0.5000
0.5281 0.4719 0.5000
0.6667 0.3333 0.0789
0.7584 0.8792 0.7679
0.8792 0.1208 0.2679
0.8792 0.7584 0.2679
0.9437 0.4719 0.5000
0.1938 0.3877 0.2964
0.1938 0.8062 0.2964
0.3877 0.1938 0.7964
0.6123 0.8062 0.2964
0.8062 0.1938 0.7964
0.8062 0.6123 0.7964
```

Peak list (10 most intense, 10° ≤ 2θ ≤ 80°, sorted by position)
d = 3.157 Å, I = 32
d = 3.114 Å, I = 51
d = 2.992 Å, I = 28
d = 2.824 Å, I = 100
d = 2.735 Å, I = 68
d = 2.625 Å, I = 64
d = 2.054 Å, I = 20
d = 1.965 Å, I = 23
d = 1.511 Å, I = 30
d = 1.475 Å, I = 28

---

Computed powder diffraction line list
Compound: Tb2Pr3Dy
Radiation: Cu Kα
Structure: a DFT-relaxed cell (PBE, Alexandria)

Structure:
```
Tb2Pr3Dy
1.0
5.4874 -3.1595 0.0000
5.4874 3.1595 0.0000
0.0000 0.0000 11.7109
Tb Pr Dy
4 6 2
Direct
0.0009 0.3326 0.0000
0.3326 0.0009 0.5000
0.6674 0.9991 0.0000
0.9991 0.6674 0.5000
0.0012 0.9988 0.2500
0.3325 0.3348 0.7500
0.3348 0.3325 0.2500
0.6652 0.6675 0.7500
0.6675 0.6652 0.2500
0.9988 0.0012 0.7500
0.3341 0.6659 0.0001
0.6659 0.3341 0.5001
```

Peak list (10 most intense, 10° ≤ 2θ ≤ 80°, sorted by position)
d = 3.054 Å, I = 49
d = 2.928 Å, I = 35
d = 2.784 Å, I = 100
d = 2.458 Å, I = 27
d = 1.882 Å, I = 12
d = 1.829 Å, I = 9
d = 1.825 Å, I = 18
d = 1.661 Å, I = 21
d = 1.550 Å, I = 32
d = 1.528 Å, I = 11

---

Computed powder diffraction line list
Compound: Ti4MnPd15
Radiation: Cu Kα
Structure: a DFT-relaxed cell (PBE, Alexandria)

Structure:
```
Ti4MnPd15
1.0
3.9312 0.0000 0.0000
0.0000 3.9312 0.0000
0.0000 0.0000 19.6057
Ti Mn Pd
4 1 15
Direct
0.0000 0.0000 0.1010
0.0000 0.0000 0.3044
0.0000 0.0000 0.6956
0.0000 0.0000 0.8990
0.0000 0.0000 0.5000
0.0000 0.5000 0.0000
0.0000 0.5000 0.1985
0.0000 0.5000 0.3973
0.0000 0.5000 0.6027
0.0000 0.5000 0.8015
0.5000 0.0000 0.0000
0.5000 0.0000 0.1985
0.5000 0.0000 0.3973
0.5000 0.0000 0.6027
0.5000 0.0000 0.8015
0.5000 0.5000 0.0994
0.5000 0.5000 0.2979
0.5000 0.5000 0.5000
0.5000 0.5000 0.7021
0.5000 0.5000 0.9006
```

Peak list (10 most intense, 10° ≤ 2θ ≤ 80°, sorted by position)
d = 3.928 Å, I = 8
d = 2.777 Å, I = 7
d = 2.268 Å, I = 100
d = 1.966 Å, I = 32
d = 1.961 Å, I = 16
d = 1.758 Å, I = 2
d = 1.754 Å, I = 1
d = 1.604 Å, I = 3
d = 1.389 Å, I = 30
d = 1.309 Å, I = 2

---

Computed powder diffraction line list
Compound: AcPm3Au2
Radiation: Cu Kα
Structure: a DFT-relaxed cell (PBE, Alexandria)

Structure:
```
AcPm3Au2
1.0
5.1273 0.0000 0.0000
0.0000 9.2943 0.0000
0.0000 0.0000 7.5814
Ac Pm Au
2 6 4
Direct
0.0000 0.0770 0.0000
0.0000 0.9230 0.5000
0.0000 0.3403 0.6378
0.0000 0.6597 0.1378
0.5000 0.1741 0.3432
0.5000 0.4264 0.9774
0.5000 0.5736 0.4774
0.5000 0.8259 0.8432
0.0000 0.3514 0.2450
0.0000 0.6486 0.7450
0.5000 0.1582 0.7370
0.5000 0.8418 0.2370
```

Peak list (10 most intense, 10° ≤ 2θ ≤ 80°, sorted by position)
d = 3.135 Å, I = 75
d = 2.937 Å, I = 23
d = 2.896 Å, I = 100
d = 2.652 Å, I = 60
d = 2.564 Å, I = 58
d = 2.220 Å, I = 20
d = 2.202 Å, I = 20
d = 2.173 Å, I = 22
d = 1.623 Å, I = 19
d = 1.437 Å, I = 24

---

Computed powder diffraction line list
Compound: Rb3In2Bi2
Radiation: Cu Kα
Structure: a DFT-relaxed cell (PBE, Alexandria)

Structure:
```
Rb3In2Bi2
1.0
4.8219 0.0000 0.0000
0.0000 5.8925 0.0000
0.0000 0.0000 22.2968
Rb In Bi
6 4 4
Direct
0.0000 0.0000 0.0000
0.0000 0.5000 0.3157
0.0000 0.5000 0.6843
0.5000 0.0000 0.1843
0.5000 0.0000 0.8157
0.5000 0.5000 0.5000
0.0000 0.0000 0.4371
0.0000 0.0000 0.5629
0.5000 0.5000 0.0629
0.5000 0.5000 0.9371
0.0000 0.5000 0.1388
0.0000 0.5000 0.8612
0.5000 0.0000 0.3612
0.5000 0.0000 0.6388
```

Peak list (10 most intense, 10° ≤ 2θ ≤ 80°, sorted by position)
d = 5.697 Å, I = 81
d = 3.556 Å, I = 58
d = 3.539 Å, I = 100
d = 3.101 Å, I = 86
d = 2.946 Å, I = 66
d = 2.658 Å, I = 69
d = 2.633 Å, I = 42
d = 2.411 Å, I = 38
d = 1.973 Å, I = 58
d = 1.866 Å, I = 42